This entry pairs a crystal structure of La2Pm4Th3 with its simulated powder diffraction line list. Radiation: CuKα. Structure: a cell relaxed with GGA-PBE.
Kinematic intensities with the Lorentz-polarization factor, no thermal factor.

Structural model:
```
La2Pm4Th3
1.0
3.609 0.000 0.000
-1.805 3.126 0.000
0.000 0.000 27.383
La Pm Th
2 4 3
direct
0.000 0.000 0.000 La
0.000 0.000 0.217 La
0.000 0.000 0.344 Pm
0.000 0.000 0.558 Pm
0.333 0.667 0.670 Pm
0.333 0.667 0.884 Pm
0.000 0.000 0.777 Th
0.333 0.667 0.109 Th
0.333 0.667 0.449 Th
```

Top 6 peaks for 10 to 80 degrees two-theta, low angle first:
two_theta  intensity  index
28.56  46  1 0 0
29.35  65  0 0 9
31.46  70  0 1 4
33.00  100  1 0 5
50.58  38  1 1 0
59.56  46  1 1 9